No. 1
Structure and calculated powder X-ray diffraction pattern of Te6PdI12 (a cell relaxed with GGA-PBE; λ = 1.5418 Å (Cu Kα)).

Structural model:
Unit cell a=10.9324 b=10.9324 c=34.0179 alpha=90.00 beta=90.00 gamma=120.00
Space group R-3 (No. 148, hexagonal axes)
Asymmetric unit:
Te 0.0184 0.7824 0.0176 (multiplicity 18)
Pd 0.0000 0.0000 0.5000 (multiplicity 3)
I 0.0000 0.1927 0.5545 (multiplicity 18)
I 0.0109 0.8314 0.7716 (multiplicity 18)

Most intense lines, 10 to 80 degrees two-theta, in order of rising 2θ:
two_theta  I/Imax  (hkl)
14.00  100.0  1 0 4
16.04  26.7  0 1 5
18.02  67.6  2 -1 3
23.54  39.6  0 0 9
31.04  44.9  3 -1 7
33.73  41.4  4 -2 3

---

No. 2
Structure and calculated powder X-ray diffraction pattern of TePdI2 (a cell relaxed with GGA-PBE; λ = 1.5418 Å (Cu Kα)).

Structural model:
Unit cell a=8.187 b=3.138 c=10.527 alpha=90.00 beta=97.50 gamma=90.00
Space group Cm (No. 8)
Asymmetric unit:
Te 0.000 0.000 0.000 (multiplicity 2)
Pd 0.274 0.000 0.870 (multiplicity 2)
I 0.166 0.500 0.649 (multiplicity 2)
I 0.336 0.500 0.282 (multiplicity 2)

Most intense lines, 10 to 80 degrees two-theta, in order of rising 2θ:
two_theta  I/Imax  (hkl)
24.55  55.5  2 0 1
25.61  65.8  0 0 3
25.99  93.9  2 0 -2
32.14  100.0  1 1 1
35.87  36.4  1 1 2
45.96  55.7  3 1 1

---

No. 3
Structure and calculated powder X-ray diffraction pattern of Te5Pd3I (a cell relaxed with GGA-PBE; λ = 1.5418 Å (Cu Kα)).

Structural model:
Unit cell a=9.918 b=8.945 c=12.322 alpha=90.00 beta=108.12 gamma=90.00
Space group C2/m (No. 12)
Asymmetric unit:
Te 0.000 0.184 0.000 (multiplicity 4)
Te 0.057 0.189 0.354 (multiplicity 8)
Te 0.178 0.500 0.551 (multiplicity 4)
Te 0.204 0.500 0.881 (multiplicity 4)
Pd 0.000 0.000 0.500 (multiplicity 2)
Pd 0.000 0.500 0.000 (multiplicity 2)
Pd 0.002 0.500 0.672 (multiplicity 4)
Pd 0.027 0.000 0.177 (multiplicity 4)
I 0.196 0.500 0.207 (multiplicity 4)

Most intense lines, 10 to 80 degrees two-theta, in order of rising 2θ:
two_theta  I/Imax  (hkl)
18.83  60.6  2 0 0
19.85  82.4  0 2 0
30.39  69.6  0 2 3
32.11  72.6  3 1 -3
40.99  81.9  1 3 3
43.26  100.0  3 3 -3

---

No. 4
Structure and calculated powder X-ray diffraction pattern of ZrTePdI2 (a cell relaxed with GGA-PBE; λ = 1.5418 Å (Cu Kα)).

Structural model:
Unit cell a=5.743 b=5.743 c=5.576 alpha=90.00 beta=90.00 gamma=90.00
Space group P4/mmm (No. 123)
Asymmetric unit:
Zr 0.000 0.000 0.000 (multiplicity 1)
Te 0.000 0.000 0.500 (multiplicity 1)
Pd 0.500 0.500 0.500 (multiplicity 1)
I 0.000 0.500 0.000 (multiplicity 2)

Most intense lines, 10 to 80 degrees two-theta, in order of rising 2θ:
two_theta  I/Imax  (hkl)
27.17  100.0  1 1 1
31.15  76.6  2 0 0
32.11  35.3  0 0 2
45.34  53.4  2 0 2
53.03  30.7  3 1 1
56.03  28.2  2 2 2